# 1
Calculated powder X-ray diffraction pattern of Pm4Pb2I3 for copper Kα, from a structure optimized by DFT (GGA-PBE).
Lines closer than 0.1° are merged.

Structure:
```
data_Pm4Pb2I3
_cell_length_a 7.8859
_cell_length_b 4.5529
_cell_length_c 18.6590
_cell_angle_alpha 90.00
_cell_angle_beta 90.06
_cell_angle_gamma 90.00
_space_group_name_H-M_alt 'C 1 2/m 1'
_space_group_IT_number 12
_space_group_name_Hall '-C 2y'
loop_
_atom_site_label
_atom_site_type_symbol
_atom_site_fract_x
_atom_site_fract_y
_atom_site_fract_z
Pm1 Pm 0.0008 0.0000 0.2945
Pm2 Pm 0.1664 0.5000 0.8896
Pb1 Pb 0.1672 0.5000 0.2002
I1 I 0.0000 0.0000 0.0000
I2 I 0.1656 0.5000 0.6024
```

The 10 most intense peaks (2θ from 10° to 90°), in order of rising 2θ:
2theta  intensity  hkl
26.77  100  2 0 3
29.67  32  1 1 -4
36.81  15  1 1 6
39.59  48  3 1 0
40.86  39  2 0 -7
48.44  20  2 2 3
58.20  12  2 2 -7
64.27  17  5 1 3
64.58  20  3 1 10
72.69  13  5 1 -7

---

# 2
Calculated powder X-ray diffraction pattern of Ba5Al3 for copper Kα, from a structure optimized by DFT (GGA-PBE).
Lines closer than 0.1° are merged.

Structure:
```
data_Ba5Al3
_cell_length_a 9.0791
_cell_length_b 11.9632
_cell_length_c 5.8957
_cell_angle_alpha 90.00
_cell_angle_beta 90.00
_cell_angle_gamma 90.00
_space_group_name_H-M_alt 'C m m m'
_space_group_IT_number 65
_space_group_name_Hall '-C 2 2'
loop_
_atom_site_label
_atom_site_type_symbol
_atom_site_fract_x
_atom_site_fract_y
_atom_site_fract_z
Ba1 Ba 0.0000 0.0000 0.0000
Ba2 Ba 0.2059 0.5000 0.5000
Ba3 Ba 0.2500 0.2500 0.0000
Al1 Al 0.0000 0.2191 0.5000
Al2 Al 0.0000 0.5000 0.0000
```

The 10 most intense peaks (2θ from 10° to 90°), in order of rising 2θ:
2theta  intensity  hkl
19.42  15  1 1 1
19.56  10  2 0 0
21.16  22  0 2 1
28.76  9  1 3 1
28.97  100  2 2 1
29.87  25  0 4 0
30.32  25  0 0 2
43.09  18  0 4 2
52.47  17  2 6 1
53.03  18  2 2 3

---

# 3
Calculated powder X-ray diffraction pattern of CaAc8La6 for copper Kα, from a structure optimized by DFT (GGA-PBE).
Lines closer than 0.1° are merged.

Structure:
```
data_CaAc8La6
_cell_length_a 10.3182
_cell_length_b 10.3182
_cell_length_c 21.5939
_cell_angle_alpha 90.00
_cell_angle_beta 90.00
_cell_angle_gamma 120.00
_space_group_name_H-M_alt 'R -3'
_space_group_IT_number 148
_space_group_name_Hall '-R 3'
loop_
_atom_site_label
_atom_site_type_symbol
_atom_site_fract_x
_atom_site_fract_y
_atom_site_fract_z
Ca1 Ca 0.0000 0.0000 0.0000
Ac1 Ac 0.0000 0.0000 0.2583
Ac2 Ac 0.0065 0.7093 0.1230
La1 La 0.0068 0.2953 0.3739
```

The 10 most intense peaks (2θ from 10° to 90°), in order of rising 2θ:
2theta  intensity  hkl
12.86  17  0 1 2
25.89  23  0 2 4
27.67  32  3 -2 2
30.00  81  3 0 0
30.28  100  1 1 6
43.15  25  4 -2 6
53.24  19  0 4 8
53.44  19  4 1 6
53.99  18  1 1 12
60.11  17  3 0 12

---

# 4
Calculated powder X-ray diffraction pattern of Sm4Tm8Th for copper Kα, from a structure optimized by DFT (GGA-PBE).
Lines closer than 0.1° are merged.

Structure:
```
data_Sm4Tm8Th
_cell_length_a 10.9409
_cell_length_b 10.9409
_cell_length_c 13.3578
_cell_angle_alpha 90.00
_cell_angle_beta 90.00
_cell_angle_gamma 120.00
_space_group_name_H-M_alt 'R -3 m'
_space_group_IT_number 166
_space_group_name_Hall '-R 3 2"'
loop_
_atom_site_label
_atom_site_type_symbol
_atom_site_fract_x
_atom_site_fract_y
_atom_site_fract_z
Sm1 Sm 0.0000 0.0000 0.0000
Sm2 Sm 0.0000 0.5000 0.0000
Tm1 Tm 0.0000 0.0000 0.2408
Tm2 Tm 0.0119 0.5059 0.7463
Th1 Th 0.0000 0.0000 0.5000
```

The 10 most intense peaks (2θ from 10° to 90°), in order of rising 2θ:
2theta  intensity  hkl
16.22  6  0 1 2
19.90  7  0 0 3
23.02  7  2 0 2
25.78  7  1 1 3
32.78  100  2 2 0
47.03  18  4 0 4
58.47  28  6 0 0
58.62  9  2 0 8
78.17  8  6 2 4
78.29  8  4 2 8

---

# 5
Calculated powder X-ray diffraction pattern of Sm2Tc3Os for copper Kα, from a structure optimized by DFT (GGA-PBE).
Lines closer than 0.1° are merged.

Structure:
```
data_Sm2Tc3Os
_cell_length_a 9.1799
_cell_length_b 5.3147
_cell_length_c 5.5993
_cell_angle_alpha 90.00
_cell_angle_beta 123.33
_cell_angle_gamma 90.00
_space_group_name_H-M_alt 'C 1 2/m 1'
_space_group_IT_number 12
_space_group_name_Hall '-C 2y'
loop_
_atom_site_label
_atom_site_type_symbol
_atom_site_fract_x
_atom_site_fract_y
_atom_site_fract_z
Sm1 Sm 0.1259 0.0000 0.3778
Tc1 Tc 0.0000 0.5000 0.0000
Tc2 Tc 0.2500 0.2500 0.0000
Os1 Os 0.0000 0.5000 0.5000
```

The 10 most intense peaks (2θ from 10° to 90°), in order of rising 2θ:
2theta  intensity  hkl
33.78  65  0 2 0
37.51  53  1 1 -2
37.62  26  2 0 1
38.48  26  0 0 2
38.99  100  0 2 1
39.10  50  3 1 0
41.34  59  2 2 0
62.84  24  4 2 -3
63.91  29  3 3 0
67.17  24  2 2 2

---

# 6
Calculated powder X-ray diffraction pattern of Mg4In3 for copper Kα, from a structure optimized by DFT (GGA-PBE).
Lines closer than 0.1° are merged.

Structure:
```
data_Mg4In3
_cell_length_a 3.2546
_cell_length_b 4.4025
_cell_length_c 22.7541
_cell_angle_alpha 90.00
_cell_angle_beta 90.00
_cell_angle_gamma 90.00
_space_group_name_H-M_alt 'I m m m'
_space_group_IT_number 71
_space_group_name_Hall '-I 2 2'
loop_
_atom_site_label
_atom_site_type_symbol
_atom_site_fract_x
_atom_site_fract_y
_atom_site_fract_z
Mg1 Mg 0.0000 0.0000 0.0715
Mg2 Mg 0.0000 0.0000 0.2136
In1 In 0.0000 0.0000 0.3541
In2 In 0.0000 0.0000 0.5000
```

The 10 most intense peaks (2θ from 10° to 90°), in order of rising 2θ:
2theta  intensity  hkl
20.55  35  0 1 1
23.44  20  0 0 6
27.69  17  1 0 1
34.28  100  1 1 0
39.17  34  1 0 7
41.00  15  0 2 0
41.94  14  1 1 6
56.59  15  2 0 0
58.00  21  1 2 7
67.86  25  2 1 7